No. 1
The following is a simulated powder XRD pattern of Nd4Y8Sc. It was derived from a cell relaxed with PBE, using Cu Kα (weighted mean of Kα1 and Kα2).
Intensities are scaled so that the largest is 100.

Structural model:
Cell: 11.0269 11.0269 13.4879 Å, 90.00 90.00 120.00°
Space group R-3m (No. 166, hexagonal axes)
Inequivalent atoms, fractional coordinates:
1 Nd 0.0000 0.0000 0.0000 x3
2 Nd 0.0000 0.5000 0.0000 x9
3 Y 0.0000 0.0000 0.2426 x6
4 Y 0.0094 0.5047 0.7475 x18
5 Sc 0.0000 0.0000 0.5000 x3

Largest 12 diffraction maxima, in order of rising 2θ, 2θ from 5° to 70°:
- (0 1 2), 2θ 16.08, I 1
- (0 0 3), 2θ 19.73, I 36
- (2 0 2), 2θ 22.82, I 1
- (1 1 3), 2θ 25.56, I 1
- (2 2 0), 2θ 32.49, I 100
- (2 2 3), 2θ 38.30, I 20
- (4 0 4), 2θ 46.61, I 18
- (1 0 7), 2θ 48.14, I 1
- (0 2 7), 2θ 51.08, I 9
- (6 0 0), 2θ 57.97, I 36
- (4 0 7), 2θ 61.86, I 7
- (4 4 0), 2θ 68.05, I 11

No. 2
The following is a simulated powder XRD pattern of Nd7Y3Sc. It was derived from a cell relaxed with PBE, using Cu Kα (weighted mean of Kα1 and Kα2).
Intensities are scaled so that the largest is 100.

Structural model:
Cell: 7.099 11.169 10.092 Å, 90.00 109.88 90.00°
Space group P2_1 (No. 4)
Inequivalent atoms, fractional coordinates:
1 Nd 0.082 0.000 0.174 x2
2 Nd 0.083 0.466 0.175 x2
3 Nd 0.134 0.733 0.330 x2
4 Nd 0.200 0.233 0.414 x2
5 Nd 0.328 0.733 0.676 x2
6 Nd 0.401 0.027 0.816 x2
7 Nd 0.401 0.441 0.818 x2
8 Y 0.235 0.733 0.994 x2
9 Y 0.260 0.233 0.028 x2
10 Y 0.499 0.983 0.499 x2
11 Sc 0.000 0.483 0.501 x2

Largest 12 diffraction maxima, in order of rising 2θ, 2θ from 5° to 70°:
- (0 2 2), 2θ 24.61, I 19
- (2 0 -1), 2θ 25.09, I 36
- (1 3 -1), 2θ 27.46, I 18
- (1 3 1), 2θ 30.50, I 18
- (2 0 1), 2θ 31.24, I 84
- (2 2 -2), 2θ 31.41, I 63
- (2 0 -3), 2θ 31.67, I 22
- (0 4 0), 2θ 32.05, I 56
- (0 2 3), 2θ 32.53, I 100
- (2 4 1), 2θ 45.41, I 18
- (4 0 -2), 2θ 51.50, I 20
- (4 4 -2), 2θ 61.94, I 31

No. 3
The following is a simulated powder XRD pattern of Nd15Y4Sc. It was derived from a cell relaxed with PBE, using Cu Kα (weighted mean of Kα1 and Kα2).
Intensities are scaled so that the largest is 100.

Structural model:
Cell: 5.150 5.150 25.654 Å, 90.00 90.00 90.00°
Space group P4/mmm (No. 123)
Inequivalent atoms, fractional coordinates:
1 Nd 0.000 0.000 0.000 x1
2 Nd 0.000 0.000 0.197 x2
3 Nd 0.000 0.000 0.399 x2
4 Nd 0.000 0.500 0.097 x4
5 Nd 0.000 0.500 0.298 x4
6 Nd 0.000 0.500 0.500 x2
7 Y 0.500 0.500 0.198 x2
8 Y 0.500 0.500 0.399 x2
9 Sc 0.500 0.500 0.000 x1

Largest 12 diffraction maxima, in order of rising 2θ, 2θ from 5° to 70°:
- (1 0 0), 2θ 17.24, I 4
- (1 1 0), 2θ 24.48, I 4
- (1 1 5), 2θ 30.09, I 100
- (2 0 0), 2θ 34.84, I 34
- (0 0 10), 2θ 34.98, I 17
- (2 1 0), 2θ 39.13, I 1
- (2 1 5), 2θ 43.08, I 2
- (2 2 0), 2θ 50.17, I 36
- (3 0 0), 2θ 53.43, I 1
- (3 1 5), 2θ 59.56, I 28
- (1 1 15), 2θ 59.74, I 14
- (2 2 10), 2θ 62.56, I 12

No. 4
The following is a simulated powder XRD pattern of Nd3YSc3. It was derived from a cell relaxed with PBE, using Cu Kα (weighted mean of Kα1 and Kα2).
Intensities are scaled so that the largest is 100.

Structural model:
Cell: 9.3798 9.3798 5.5616 Å, 90.00 90.00 120.00°
Space group P6_3/m (No. 176)
Inequivalent atoms, fractional coordinates:
1 Nd 0.0941 0.6318 0.2500 x6
2 Y 0.3333 0.6667 0.7500 x2
3 Sc 0.0421 0.8189 0.7500 x6

Largest 12 diffraction maxima, in order of rising 2θ, 2θ from 5° to 70°:
- (1 0 0), 2θ 10.89, I 17
- (1 0 1), 2θ 19.34, I 5
- (1 1 1), 2θ 24.83, I 18
- (2 0 1), 2θ 27.19, I 5
- (1 2 0), 2θ 29.08, I 30
- (0 0 2), 2θ 32.19, I 25
- (1 2 1), 2θ 33.33, I 100
- (1 2 2), 2θ 43.93, I 19
- (4 1 0), 2θ 51.56, I 18
- (1 2 3), 2θ 58.13, I 20
- (4 1 2), 2θ 62.10, I 20
- (2 4 1), 2θ 62.79, I 14